This entry pairs a crystal structure of Cs3Ag2HgBr6 with its theoretical X-ray powder pattern. Radiation: λ = 1.5418 Å (Cu Kα). Structure: a cell relaxed with GGA-PBE.

Largest 10 diffraction maxima, by angle, 2θ = 10–90°:
- 7.424 Å, rel. 22, (1 0 0)
- 5.780 Å, rel. 21, (1 0 1)
- 4.286 Å, rel. 84, (1 1 0)
- 3.913 Å, rel. 56, (0 1 2)
- 3.443 Å, rel. 36, (0 2 1)
- 2.890 Å, rel. 100, (2 0 2)
- 2.837 Å, rel. 25, (0 1 3)
- 2.396 Å, rel. 35, (1 2 2)
- 2.143 Å, rel. 53, (2 2 0)
- 2.071 Å, rel. 22, (1 2 3)

Structural model:
```
data_Cs3Ag2HgBr6
_symmetry_space_group_name_H-M 'P -3 m 1'
_symmetry_Int_Tables_number 164
_symmetry_space_group_name_Hall '-P 3 2"'
_cell_length_a 8.5726
_cell_length_b 8.5726
_cell_length_c 9.2089
_cell_angle_alpha 90.00
_cell_angle_beta 90.00
_cell_angle_gamma 120.00
loop_
_atom_site_label
_atom_site_type_symbol
_atom_site_fract_x
_atom_site_fract_y
_atom_site_fract_z
Cs1 Cs 0.0000 0.0000 0.0000
Cs2 Cs 0.3333 0.6667 0.6297
Ag1 Ag 0.3333 0.6667 0.2284
Hg1 Hg 0.0000 0.0000 0.5000
Br1 Br 0.1628 0.3256 0.2927
```